1.
Simulated powder X-ray diffraction pattern of AgAu2Se for Cu Kα (λ = 1.5418 Å), from DFT lattice parameters and positions (PBE).
No peak broadening, texture or thermal motion is included.

The 8 most intense peaks (15 to 90 degrees two-theta), by angle:
Position (°2θ), d (Å), Rel. int.
35.05, 2.560, 100
35.36, 2.538, 65
40.50, 2.228, 47
41.92, 2.155, 46
42.87, 2.110, 38
43.64, 2.074, 45
46.99, 1.934, 40
54.11, 1.695, 30

Crystal structure
```
data_AgAu2Se
_cell_length_a 9.1073
_cell_length_b 2.8605
_cell_length_c 6.7475
_cell_angle_alpha 90.00
_cell_angle_beta 97.32
_cell_angle_gamma 90.00
_symmetry_space_group_name_H-M 'C 1 m 1'
_symmetry_Int_Tables_number 8
loop_
_symmetry_equiv_pos_as_xyz
'x,y,z'
'x,-y,z'
'x+1/2,y+1/2,z'
'x+1/2,-y+1/2,z'
loop_
_atom_site_label
_atom_site_fract_x
_atom_site_fract_y
_atom_site_fract_z
_atom_site_occupancy
Ag1 0.0000 0.0000 0.0000 1
Au1 0.0858 0.5000 0.4083 1
Au2 0.2996 0.0000 0.2205 1
Se1 0.1914 0.5000 0.7801 1
```

***

2.
Simulated powder X-ray diffraction pattern of Pa2CoTe4 for Cu Kα (λ = 1.5418 Å), from DFT lattice parameters and positions (PBE).
No peak broadening, texture or thermal motion is included.

The 8 most intense peaks (15 to 90 degrees two-theta), by angle:
Position (°2θ), d (Å), Rel. int.
21.15, 4.201, 40
31.74, 2.820, 55
32.89, 2.723, 59
34.61, 2.592, 100
43.83, 2.066, 36
44.92, 2.018, 22
45.21, 2.006, 30
64.56, 1.443, 22

Crystal structure
```
data_Pa2CoTe4
_cell_length_a 14.7596
_cell_length_b 8.0722
_cell_length_c 3.8034
_cell_angle_alpha 90.00
_cell_angle_beta 90.13
_cell_angle_gamma 90.00
_symmetry_space_group_name_H-M 'C 1 2/m 1'
_symmetry_Int_Tables_number 12
loop_
_symmetry_equiv_pos_as_xyz
'x,y,z'
'-x,-y,-z'
'-x,y,-z'
'x,-y,z'
'x+1/2,y+1/2,z'
'-x+1/2,-y+1/2,-z'
'-x+1/2,y+1/2,-z'
'x+1/2,-y+1/2,z'
loop_
_atom_site_label
_atom_site_fract_x
_atom_site_fract_y
_atom_site_fract_z
_atom_site_occupancy
Pa1 0.1572 0.0000 0.0004 1
Co1 0.0000 0.0000 0.5000 1
Te1 0.0000 0.2351 0.0000 1
Te2 0.2500 0.2500 0.5000 1
```

***

3.
Simulated powder X-ray diffraction pattern of Nd2Si7Pt12 for Cu Kα (λ = 1.5418 Å), from DFT lattice parameters and positions (PBE).
No peak broadening, texture or thermal motion is included.

The 8 most intense peaks (15 to 90 degrees two-theta), by angle:
Position (°2θ), d (Å), Rel. int.
27.39, 3.256, 20
35.50, 2.529, 100
44.11, 2.053, 10
45.17, 2.007, 16
45.92, 1.976, 16
48.43, 1.880, 16
68.37, 1.372, 11
77.05, 1.238, 11

Crystal structure
```
data_Nd2Si7Pt12
_cell_length_a 9.9465
_cell_length_b 9.9465
_cell_length_c 4.0143
_cell_angle_alpha 90.00
_cell_angle_beta 90.00
_cell_angle_gamma 120.00
_symmetry_space_group_name_H-M 'P -3'
_symmetry_Int_Tables_number 147
loop_
_symmetry_equiv_pos_as_xyz
'x,y,z'
'-x,-y,-z'
'-y,x-y,z'
'y,-x+y,-z'
'-x+y,-x,z'
'x-y,x,-z'
loop_
_atom_site_label
_atom_site_fract_x
_atom_site_fract_y
_atom_site_fract_z
_atom_site_occupancy
Nd1 0.3333 0.6667 0.2461 1
Si1 0.0000 0.0000 0.5000 1
Si2 0.1151 0.7124 0.7464 1
Pt1 0.0699 0.4503 0.7487 1
Pt2 0.1127 0.2591 0.2403 1
```

***

4.
Simulated powder X-ray diffraction pattern of Li2YOs for Cu Kα (λ = 1.5418 Å), from DFT lattice parameters and positions (PBE).
No peak broadening, texture or thermal motion is included.

The 8 most intense peaks (15 to 90 degrees two-theta), by angle:
Position (°2θ), d (Å), Rel. int.
22.31, 3.986, 98
25.92, 3.437, 76
38.09, 2.363, 100
39.16, 2.301, 55
45.57, 1.991, 18
47.52, 1.913, 30
53.29, 1.719, 19
63.37, 1.468, 36

Crystal structure
```
data_Li2YOs
_cell_length_a 3.8107
_cell_length_b 4.6060
_cell_length_c 7.9590
_cell_angle_alpha 90.00
_cell_angle_beta 90.00
_cell_angle_gamma 90.00
_symmetry_space_group_name_H-M 'I m m 2'
_symmetry_Int_Tables_number 44
loop_
_symmetry_equiv_pos_as_xyz
'x,y,z'
'-x,-y,z'
'-x,y,z'
'x,-y,z'
'x+1/2,y+1/2,z+1/2'
'-x+1/2,-y+1/2,z+1/2'
'-x+1/2,y+1/2,z+1/2'
'x+1/2,-y+1/2,z+1/2'
loop_
_atom_site_label
_atom_site_fract_x
_atom_site_fract_y
_atom_site_fract_z
_atom_site_occupancy
Li1 0.0000 0.0000 0.0000 1
Li2 0.0000 0.5000 0.2751 1
Y1 0.0000 0.5000 0.7688 1
Os1 0.0000 0.0000 0.5418 1
```